This entry pairs a crystal structure of NbN with its theoretical XRD peak list. Radiation: Cu Kα (weighted mean of Kα1 and Kα2). Structure: a crystal structure in the Materials Project, relaxed with PBE.
Kinematic intensities with the Lorentz-polarization factor, no thermal factor.

Atomic structure:
a b c (Å): 2.9762 2.9762 2.8987
angles (deg): 90.00 90.00 120.00
Space group P-6m2 (No. 187)
Inequivalent atoms, fractional coordinates:
1 Nb 0.0000 0.0000 0.0000
2 N 0.3333 0.6667 0.5000

Top 9 peaks for 2θ = 10–90°, low angle first:
2θ (°)  d/Å  I (rel.)
30.85  2.899  36
34.81  2.577  93
47.19  1.926  100
62.40  1.488  23
64.27  1.449  7
71.23  1.324  20
73.48  1.289  10
75.21  1.263  19
81.79  1.178  19


This entry pairs a crystal structure of Nb3N5 with its theoretical XRD peak list. Radiation: Cu Kα (weighted mean of Kα1 and Kα2). Structure: a crystal structure in the Materials Project, relaxed with PBE.
Kinematic intensities with the Lorentz-polarization factor, no thermal factor.

Atomic structure:
a b c (Å): 3.9200 10.4152 10.4014
angles (deg): 90.00 90.00 90.00
Space group Cmcm (No. 63)
Inequivalent atoms, fractional coordinates:
1 Nb 0.0000 0.1302 0.0592
2 Nb 0.0000 0.2045 0.7500
3 N 0.0000 0.0475 0.6204
4 N 0.0000 0.2344 0.2500
5 N 0.0000 0.3099 0.5741

Top 12 peaks for 2θ = 10–90°, low angle first:
2θ (°)  d/Å  I (rel.)
17.03  5.206  43
24.25  3.670  100
30.99  2.886  74
34.50  2.600  48
35.62  2.520  74
38.68  2.328  38
46.32  1.960  28
52.79  1.734  33
56.66  1.624  28
56.78  1.621  25
61.89  1.499  17
68.05  1.378  16


This entry pairs a crystal structure of NbN with its theoretical XRD peak list. Radiation: Cu Kα (weighted mean of Kα1 and Kα2). Structure: a crystal structure in the Materials Project, relaxed with PBE.
Kinematic intensities with the Lorentz-polarization factor, no thermal factor.

Atomic structure:
a b c (Å): 2.9517 2.9517 5.8982
angles (deg): 90.00 90.00 120.00
Space group P6_3/mmc (No. 194)
Inequivalent atoms, fractional coordinates:
1 Nb 0.0000 0.0000 0.0000
2 N 0.3333 0.6667 0.2500

Top 8 peaks for 2θ = 10–90°, low angle first:
2θ (°)  d/Å  I (rel.)
30.31  2.949  37
35.11  2.556  89
38.38  2.345  2
47.05  1.932  100
63.00  1.476  30
71.48  1.320  20
74.23  1.278  30
82.20  1.173  18


This entry pairs a crystal structure of Nb2N3 with its theoretical XRD peak list. Radiation: Cu Kα (weighted mean of Kα1 and Kα2). Structure: a crystal structure in the Materials Project, relaxed with PBE.
Kinematic intensities with the Lorentz-polarization factor, no thermal factor.

Atomic structure:
a b c (Å): 8.3200 3.0202 8.1886
angles (deg): 90.00 90.00 90.00
Space group Pnma (No. 62)
Inequivalent atoms, fractional coordinates:
1 Nb 0.0221 0.2500 0.1872
2 Nb 0.1949 0.2500 0.5043
3 N 0.0456 0.7500 0.3743
4 N 0.1213 0.2500 0.9520
5 N 0.2215 0.7500 0.7026

Top 12 peaks for 2θ = 10–90°, low angle first:
2θ (°)  d/Å  I (rel.)
30.64  2.918  100
31.57  2.834  41
33.41  2.682  47
34.13  2.627  49
34.58  2.594  47
36.77  2.444  30
38.44  2.342  30
38.59  2.333  37
45.78  1.982  23
46.13  1.968  46
55.33  1.660  21
58.40  1.580  34


This entry pairs a crystal structure of Nb4N3 with its theoretical XRD peak list. Radiation: Cu Kα (weighted mean of Kα1 and Kα2). Structure: a crystal structure in the Materials Project, relaxed with PBE.
Kinematic intensities with the Lorentz-polarization factor, no thermal factor.

Atomic structure:
a b c (Å): 4.4292 4.4292 8.7118
angles (deg): 90.00 90.00 90.00
Space group I4/mmm (No. 139)
Inequivalent atoms, fractional coordinates:
1 Nb 0.0000 0.0000 0.2461
2 Nb 0.0000 0.5000 0.0000
3 N 0.0000 0.0000 0.5000
4 N 0.0000 0.5000 0.2500

Top 10 peaks for 2θ = 10–90°, low angle first:
2θ (°)  d/Å  I (rel.)
35.30  2.543  100
37.02  2.429  1
40.74  2.215  51
41.46  2.178  24
58.98  1.566  16
59.53  1.553  31
70.64  1.333  27
71.64  1.317  13
74.65  1.271  15
88.25  1.107  5


This entry pairs a crystal structure of Nb16N9 with its theoretical XRD peak list. Radiation: Cu Kα (weighted mean of Kα1 and Kα2). Structure: a crystal structure in the Materials Project, relaxed with PBE.
Kinematic intensities with the Lorentz-polarization factor, no thermal factor.

Atomic structure:
a b c (Å): 6.1252 8.8834 12.3775
angles (deg): 90.00 90.00 90.00
Space group Immm (No. 71)
Inequivalent atoms, fractional coordinates:
1 Nb 0.0000 0.2436 0.0000
2 Nb 0.0000 0.2492 0.2519
3 Nb 0.0000 0.2514 0.5000
4 Nb 0.2455 0.5000 0.1223
5 Nb 0.2458 0.5000 0.3724
6 N 0.0000 0.0000 0.0000
7 N 0.2494 0.2507 0.1251

Top 12 peaks for 2θ = 10–90°, low angle first:
2θ (°)  d/Å  I (rel.)
35.35  2.539  100
35.61  2.521  98
40.62  2.221  46
41.48  2.177  86
59.46  1.555  57
59.77  1.547  14
60.46  1.531  13
70.51  1.336  13
71.55  1.319  25
72.02  1.311  25
74.78  1.269  14
75.40  1.261  14


This entry pairs a crystal structure of Nb10N11O with its theoretical XRD peak list. Radiation: Cu Kα (weighted mean of Kα1 and Kα2). Structure: a crystal structure in the Materials Project, relaxed with PBE.
Kinematic intensities with the Lorentz-polarization factor, no thermal factor.

Atomic structure:
a b c (Å): 5.2572 10.5506 10.5110
angles (deg): 90.00 119.75 90.00
Space group Pc (No. 7)
Inequivalent atoms, fractional coordinates:
1 Nb 0.0000 0.0003 0.0000
2 Nb 0.0083 0.2441 0.6831
3 Nb 0.0128 0.2502 0.1723
4 Nb 0.3429 0.2547 0.0053
5 Nb 0.3500 0.0013 0.8371
6 Nb 0.3504 0.4992 0.1756
7 Nb 0.3659 0.2402 0.5073
8 Nb 0.6671 0.4984 0.9989
9 Nb 0.6733 0.0025 0.1750
10 Nb 0.9973 0.4983 0.8344
11 N 0.0114 0.1258 0.8392
12 N 0.0114 0.3768 0.0067
13 N 0.0165 0.1278 0.3376
14 N 0.3317 0.1268 0.1666
15 N 0.3330 0.3743 0.8349
16 N 0.3345 0.1276 0.6675
17 N 0.3367 0.3721 0.3390
18 N 0.6724 0.3726 0.6675
19 N 0.6733 0.3741 0.1687
20 N 0.6744 0.1295 0.0075
21 N 0.6784 0.1242 0.5064
22 O 0.0149 0.3706 0.5076

Top 12 peaks for 2θ = 10–90°, low angle first:
2θ (°)  d/Å  I (rel.)
19.48  4.557  31
25.84  3.448  43
33.99  2.638  49
35.19  2.550  44
38.14  2.360  49
38.26  2.352  100
42.85  2.110  30
42.96  2.105  56
55.85  1.646  36
60.90  1.521  32
63.65  1.462  34
71.59  1.318  32


This entry pairs a crystal structure of Nb5N2O2 with its theoretical XRD peak list. Radiation: Cu Kα (weighted mean of Kα1 and Kα2). Structure: a crystal structure in the Materials Project, relaxed with PBE.
Kinematic intensities with the Lorentz-polarization factor, no thermal factor.

Atomic structure:
a b c (Å): 9.9666 4.3772 6.8704
angles (deg): 90.00 133.24 90.00
Space group Cm (No. 8)
Inequivalent atoms, fractional coordinates:
1 Nb 0.0000 0.0000 0.0000
2 Nb 0.0499 0.5000 0.3172
3 Nb 0.1891 0.0000 0.7975
4 Nb 0.2729 0.5000 0.1562
5 Nb 0.3713 0.0000 0.6283
6 N 0.0749 0.0000 0.3864
7 N 0.2858 0.0000 0.2161
8 O 0.1353 0.5000 0.7283
9 O 0.3676 0.5000 0.5640

Top 12 peaks for 2θ = 10–90°, low angle first:
2θ (°)  d/Å  I (rel.)
34.60  2.593  100
35.50  2.529  89
39.55  2.278  56
41.26  2.188  94
44.66  2.029  13
57.27  1.609  13
58.47  1.578  34
59.74  1.548  35
68.02  1.378  12
69.69  1.349  13
70.92  1.329  13
72.99  1.296  12


This entry pairs a crystal structure of NbN3O8 with its theoretical XRD peak list. Radiation: Cu Kα (weighted mean of Kα1 and Kα2). Structure: a crystal structure in the Materials Project, relaxed with PBE.
Kinematic intensities with the Lorentz-polarization factor, no thermal factor.

Atomic structure:
a b c (Å): 6.9263 6.9263 8.1653
angles (deg): 90.00 90.00 90.00
Space group I-42m (No. 121)
Inequivalent atoms, fractional coordinates:
1 Nb 0.0000 0.0000 0.0000
2 N 0.0000 0.0000 0.5000
3 N 0.0000 0.5000 0.2500
4 O 0.1605 0.1605 0.1674
5 O 0.2113 0.2113 0.0100

Top 12 peaks for 2θ = 10–90°, low angle first:
2θ (°)  d/Å  I (rel.)
16.78  5.282  100
18.11  4.898  34
21.77  4.083  13
28.46  3.136  40
30.88  2.896  18
36.70  2.449  20
43.07  2.100  11
44.33  2.044  12
47.08  1.930  18
48.69  1.870  15
51.96  1.760  7
58.88  1.569  11


This entry pairs a crystal structure of Nb4NO3 with its theoretical XRD peak list. Radiation: Cu Kα (weighted mean of Kα1 and Kα2). Structure: a crystal structure in the Materials Project, relaxed with PBE.
Kinematic intensities with the Lorentz-polarization factor, no thermal factor.

Atomic structure:
a b c (Å): 4.7740 4.9731 5.1658
angles (deg): 76.67 88.55 89.46
Space group P1 (No. 1)
Inequivalent atoms, fractional coordinates:
1 Nb 0.0000 0.0000 0.0000
2 Nb 0.0489 0.4098 0.3991
3 Nb 0.5288 0.9503 0.4194
4 Nb 0.6310 0.4882 0.0533
5 N 0.3034 0.7281 0.2142
6 O 0.2389 0.0684 0.6523
7 O 0.7319 0.8564 0.7692
8 O 0.8492 0.3694 0.7611

Top 12 peaks for 2θ = 10–90°, low angle first:
2θ (°)  d/Å  I (rel.)
17.65  5.025  37
28.93  3.087  96
29.57  3.021  100
33.96  2.640  74
34.36  2.610  84
35.74  2.513  29
37.16  2.420  64
37.70  2.386  36
40.63  2.220  30
41.52  2.175  47
53.62  1.709  35
59.45  1.555  27